This entry pairs a crystal structure of Rb3MnF4 with its calculated PXRD pattern. Radiation: a wavelength of 1.5418 Å. Structure: the GGA+U geometry in Alexandria.
Peak positions follow from Bragg's law for the DFT cell and can differ from measured ones.

Top 10 peaks for 10° ≤ 2θ ≤ 80°, by intensity:
d (Å)	Position (°2θ)	I_rel
3.424	26.0	100
1.894	48.0	33
2.022	44.8	27
3.216	27.7	24
2.274	39.6	20
1.319	71.5	11
1.712	53.5	10
1.620	56.8	10
1.259	75.5	9
1.226	77.9	8

Cell: 6.909 6.909 6.909 Å, 124.52 124.52 82.33°
Fractional positions:
Rb 0.000 0.000 0.000
Rb 0.250 0.750 0.500
Rb 0.750 0.250 0.500
Mn 0.500 0.500 0.000
F 0.205 0.612 0.000
F 0.388 0.388 0.593
F 0.612 0.205 0.000
F 0.795 0.795 0.407